Entry 1:
Starting from a GGA-PBE-relaxed structure, the XRD peak list of Sm2Hg3 was computed for λ = 1.5418 Å (Cu Kα).
No peak broadening, texture or thermal motion is included.

Largest 8 diffraction maxima, sorted by position, 15° ≤ 2θ ≤ 90°:
- 2θ = 20.63°, I = 35
- 2θ = 31.75°, I = 100
- 2θ = 34.00°, I = 77
- 2θ = 40.10°, I = 50
- 2θ = 48.85°, I = 44
- 2θ = 53.57°, I = 14
- 2θ = 64.98°, I = 29
- 2θ = 70.28°, I = 27

Structural model:
Unit cell a=9.133 b=9.133 c=9.133 alpha=109.47 beta=109.47 gamma=109.47
Positions (direct):
Sm 0.000 0.080 0.500
Sm 0.000 0.580 0.500
Sm 0.080 0.500 0.000
Sm 0.420 0.420 0.420
Sm 0.500 0.000 0.080
Sm 0.500 0.000 0.580
Sm 0.580 0.500 0.000
Sm 0.920 0.920 0.920
Hg 0.014 0.250 0.264
Hg 0.236 0.486 0.750
Hg 0.250 0.264 0.014
Hg 0.250 0.986 0.736
Hg 0.264 0.014 0.250
Hg 0.486 0.750 0.236
Hg 0.514 0.764 0.750
Hg 0.736 0.250 0.986
Hg 0.750 0.236 0.486
Hg 0.750 0.514 0.764
Hg 0.764 0.750 0.514
Hg 0.986 0.736 0.250


Entry 2:
Starting from a GGA-PBE-relaxed structure, the XRD peak list of SmHg4 was computed for λ = 1.5418 Å (Cu Kα).
No peak broadening, texture or thermal motion is included.

Largest 8 diffraction maxima, sorted by position, 15° ≤ 2θ ≤ 90°:
- 2θ = 33.03°, I = 93
- 2θ = 34.46°, I = 100
- 2θ = 35.71°, I = 36
- 2θ = 36.61°, I = 43
- 2θ = 44.68°, I = 21
- 2θ = 52.07°, I = 25
- 2θ = 66.70°, I = 30
- 2θ = 68.07°, I = 18

Structural model:
Unit cell a=8.717 b=8.717 c=8.717 alpha=147.29 beta=135.09 gamma=56.66
Positions (direct):
Sm 0.359 0.109 0.250
Sm 0.641 0.891 0.750
Hg 0.000 0.500 0.500
Hg 0.148 0.898 0.250
Hg 0.197 0.697 0.501
Hg 0.304 0.303 0.001
Hg 0.500 0.500 0.000
Hg 0.696 0.697 0.999
Hg 0.803 0.303 0.499
Hg 0.852 0.102 0.750


Entry 3:
Starting from a GGA-PBE-relaxed structure, the XRD peak list of Sm7Sn5Hg was computed for λ = 1.5418 Å (Cu Kα).
No peak broadening, texture or thermal motion is included.

Largest 8 diffraction maxima, sorted by position, 15° ≤ 2θ ≤ 90°:
- 2θ = 27.45°, I = 66
- 2θ = 32.08°, I = 59
- 2θ = 32.21°, I = 97
- 2θ = 32.52°, I = 42
- 2θ = 33.42°, I = 57
- 2θ = 35.92°, I = 52
- 2θ = 36.29°, I = 100
- 2θ = 56.66°, I = 44

Structural model:
Unit cell a=8.426 b=8.426 c=8.426 alpha=135.23 beta=95.75 gamma=100.94
Positions (direct):
Sm 0.000 0.000 0.000
Sm 0.303 0.637 0.666
Sm 0.376 0.376 0.000
Sm 0.454 0.121 0.334
Sm 0.787 0.121 0.666
Sm 0.862 0.362 0.500
Sm 0.971 0.637 0.334
Sn 0.124 0.133 0.492
Sn 0.124 0.632 0.991
Sn 0.378 0.878 0.500
Sn 0.640 0.133 0.009
Sn 0.640 0.632 0.508
Hg 0.678 0.678 0.000


Entry 4:
Starting from a GGA-PBE-relaxed structure, the XRD peak list of Sm8Sn2Hg3 was computed for λ = 1.5418 Å (Cu Kα).
No peak broadening, texture or thermal motion is included.

Largest 8 diffraction maxima, sorted by position, 15° ≤ 2θ ≤ 90°:
- 2θ = 30.05°, I = 26
- 2θ = 32.07°, I = 49
- 2θ = 33.72°, I = 53
- 2θ = 33.89°, I = 100
- 2θ = 44.52°, I = 19
- 2θ = 58.34°, I = 21
- 2θ = 60.95°, I = 24
- 2θ = 69.95°, I = 14

Structural model:
Unit cell a=9.211 b=9.211 c=5.582 alpha=90.00 beta=90.00 gamma=120.95
Positions (direct):
Sm 0.107 0.893 0.000
Sm 0.166 0.399 0.500
Sm 0.324 0.676 0.000
Sm 0.399 0.166 0.500
Sm 0.601 0.834 0.500
Sm 0.676 0.324 0.000
Sm 0.834 0.601 0.500
Sm 0.893 0.107 0.000
Sn 0.228 0.772 0.500
Sn 0.772 0.228 0.500
Hg 0.000 0.000 0.500
Hg 0.317 0.317 0.000
Hg 0.683 0.683 0.000


Entry 5:
Starting from a GGA-PBE-relaxed structure, the XRD peak list of Sm3Sn2Hg was computed for λ = 1.5418 Å (Cu Kα).
No peak broadening, texture or thermal motion is included.

Largest 8 diffraction maxima, sorted by position, 15° ≤ 2θ ≤ 90°:
- 2θ = 28.07°, I = 31
- 2θ = 29.46°, I = 27
- 2θ = 30.88°, I = 27
- 2θ = 32.37°, I = 100
- 2θ = 35.22°, I = 22
- 2θ = 37.65°, I = 14
- 2θ = 38.32°, I = 36
- 2θ = 65.55°, I = 16

Structural model:
Unit cell a=12.547 b=4.698 c=11.904 alpha=90.00 beta=90.00 gamma=90.00
Positions (direct):
Sm 0.041 0.250 0.123
Sm 0.134 0.750 0.570
Sm 0.205 0.250 0.813
Sm 0.295 0.750 0.313
Sm 0.366 0.250 0.070
Sm 0.459 0.750 0.623
Sm 0.541 0.250 0.377
Sm 0.634 0.750 0.930
Sm 0.705 0.250 0.687
Sm 0.795 0.750 0.187
Sm 0.866 0.250 0.430
Sm 0.959 0.750 0.877
Sn 0.009 0.750 0.321
Sn 0.184 0.750 0.026
Sn 0.316 0.250 0.526
Sn 0.491 0.250 0.821
Sn 0.509 0.750 0.179
Sn 0.684 0.750 0.474
Sn 0.816 0.250 0.974
Sn 0.991 0.250 0.679
Hg 0.147 0.250 0.354
Hg 0.353 0.750 0.854
Hg 0.647 0.250 0.146
Hg 0.853 0.750 0.646


Entry 6:
Starting from a GGA-PBE-relaxed structure, the XRD peak list of Sm3SnHg was computed for λ = 1.5418 Å (Cu Kα).
No peak broadening, texture or thermal motion is included.

Largest 8 diffraction maxima, sorted by position, 15° ≤ 2θ ≤ 90°:
- 2θ = 25.35°, I = 62
- 2θ = 30.76°, I = 58
- 2θ = 31.80°, I = 50
- 2θ = 33.07°, I = 34
- 2θ = 33.89°, I = 100
- 2θ = 34.91°, I = 28
- 2θ = 35.69°, I = 20
- 2θ = 58.27°, I = 18

Structural model:
Unit cell a=8.323 b=8.323 c=8.964 alpha=90.01 beta=90.01 gamma=86.14
Positions (direct):
Sm 0.015 0.802 0.919
Sm 0.074 0.426 0.684
Sm 0.198 0.985 0.581
Sm 0.301 0.513 0.081
Sm 0.426 0.074 0.184
Sm 0.487 0.699 0.419
Sm 0.513 0.301 0.581
Sm 0.574 0.926 0.816
Sm 0.699 0.487 0.919
Sm 0.802 0.015 0.419
Sm 0.926 0.574 0.316
Sm 0.985 0.198 0.081
Sn 0.147 0.853 0.250
Sn 0.354 0.646 0.750
Sn 0.646 0.354 0.250
Sn 0.853 0.147 0.750
Hg 0.195 0.302 0.371
Hg 0.302 0.195 0.871
Hg 0.698 0.805 0.129
Hg 0.805 0.698 0.629


Entry 7:
Starting from a GGA-PBE-relaxed structure, the XRD peak list of SrSmHg4 was computed for λ = 1.5418 Å (Cu Kα).
No peak broadening, texture or thermal motion is included.

Largest 8 diffraction maxima, sorted by position, 15° ≤ 2θ ≤ 90°:
- 2θ = 31.27°, I = 100
- 2θ = 34.34°, I = 39
- 2θ = 34.52°, I = 39
- 2θ = 34.86°, I = 77
- 2θ = 44.12°, I = 19
- 2θ = 45.50°, I = 19
- 2θ = 58.22°, I = 17
- 2θ = 58.34°, I = 17

Structural model:
Unit cell a=5.800 b=5.800 c=8.210 alpha=110.46 beta=110.46 gamma=40.21
Positions (direct):
Sr 0.000 0.000 0.000
Sm 0.000 0.000 0.500
Hg 0.330 0.330 0.654
Hg 0.331 0.331 0.180
Hg 0.669 0.669 0.820
Hg 0.670 0.670 0.346


Entry 8:
Starting from a GGA-PBE-relaxed structure, the XRD peak list of TbSm5Hg6 was computed for λ = 1.5418 Å (Cu Kα).
No peak broadening, texture or thermal motion is included.

Largest 8 diffraction maxima, sorted by position, 15° ≤ 2θ ≤ 90°:
- 2θ = 33.42°, I = 100
- 2θ = 33.59°, I = 49
- 2θ = 47.74°, I = 9
- 2θ = 48.24°, I = 18
- 2θ = 59.64°, I = 19
- 2θ = 59.96°, I = 38
- 2θ = 70.22°, I = 12
- 2θ = 80.42°, I = 12

Structural model:
Unit cell a=8.442 b=8.442 c=7.620 alpha=90.00 beta=90.00 gamma=143.19
Positions (direct):
Tb 0.000 0.000 0.000
Sm 0.000 0.000 0.500
Sm 0.332 0.668 0.500
Sm 0.333 0.667 0.000
Sm 0.667 0.333 0.000
Sm 0.668 0.332 0.500
Hg 0.165 0.835 0.248
Hg 0.165 0.835 0.752
Hg 0.500 0.500 0.246
Hg 0.500 0.500 0.754
Hg 0.835 0.165 0.248
Hg 0.835 0.165 0.752


Entry 9:
Starting from a GGA-PBE-relaxed structure, the XRD peak list of Tb8Sm2Hg was computed for λ = 1.5418 Å (Cu Kα).
No peak broadening, texture or thermal motion is included.

Largest 8 diffraction maxima, sorted by position, 15° ≤ 2θ ≤ 90°:
- 2θ = 30.57°, I = 23
- 2θ = 31.08°, I = 15
- 2θ = 32.58°, I = 31
- 2θ = 32.84°, I = 100
- 2θ = 45.64°, I = 11
- 2θ = 48.60°, I = 15
- 2θ = 58.30°, I = 20
- 2θ = 59.73°, I = 16

Structural model:
Unit cell a=9.802 b=9.802 c=7.499 alpha=112.44 beta=112.44 gamma=32.57
Positions (direct):
Tb 0.000 0.000 0.246
Tb 0.000 0.000 0.754
Tb 0.183 0.183 0.684
Tb 0.365 0.365 0.630
Tb 0.366 0.366 0.101
Tb 0.634 0.634 0.899
Tb 0.635 0.635 0.370
Tb 0.817 0.817 0.316
Sm 0.192 0.192 0.192
Sm 0.808 0.808 0.808
Hg 0.500 0.500 0.500


Entry 10:
Starting from a GGA-PBE-relaxed structure, the XRD peak list of Tb2SmHg8 was computed for λ = 1.5418 Å (Cu Kα).
No peak broadening, texture or thermal motion is included.

Largest 8 diffraction maxima, sorted by position, 15° ≤ 2θ ≤ 90°:
- 2θ = 32.46°, I = 15
- 2θ = 35.02°, I = 100
- 2θ = 36.58°, I = 8
- 2θ = 37.00°, I = 14
- 2θ = 51.92°, I = 11
- 2θ = 62.90°, I = 14
- 2θ = 69.35°, I = 7
- 2θ = 70.51°, I = 7

Structural model:
Unit cell a=8.581 b=8.581 c=8.581 alpha=145.33 beta=128.34 gamma=63.72
Positions (direct):
Tb 0.193 0.193 0.000
Tb 0.807 0.807 0.000
Sm 0.500 0.500 0.000
Hg 0.063 0.352 0.711
Hg 0.207 0.000 0.207
Hg 0.343 0.843 0.500
Hg 0.359 0.648 0.711
Hg 0.641 0.352 0.289
Hg 0.657 0.157 0.500
Hg 0.793 0.000 0.793
Hg 0.937 0.648 0.289


Entry 11:
Starting from a GGA-PBE-relaxed structure, the XRD peak list of Tb8Sm2Hg was computed for λ = 1.5418 Å (Cu Kα).
No peak broadening, texture or thermal motion is included.

Largest 8 diffraction maxima, sorted by position, 15° ≤ 2θ ≤ 90°:
- 2θ = 31.03°, I = 100
- 2θ = 31.12°, I = 99
- 2θ = 35.94°, I = 34
- 2θ = 36.08°, I = 67
- 2θ = 51.80°, I = 36
- 2θ = 51.96°, I = 35
- 2θ = 61.52°, I = 14
- 2θ = 61.71°, I = 42

Structural model:
Unit cell a=9.334 b=9.334 c=7.889 alpha=105.02 beta=105.02 gamma=30.96
Positions (direct):
Tb 0.045 0.045 0.222
Tb 0.134 0.134 0.675
Tb 0.320 0.320 0.590
Tb 0.412 0.412 0.058
Tb 0.588 0.588 0.942
Tb 0.680 0.680 0.410
Tb 0.866 0.866 0.325
Tb 0.955 0.955 0.778
Sm 0.223 0.223 0.136
Sm 0.777 0.777 0.864
Hg 0.500 0.500 0.500


Entry 12:
Starting from a GGA-PBE-relaxed structure, the XRD peak list of TbSm3Hg4 was computed for λ = 1.5418 Å (Cu Kα).
No peak broadening, texture or thermal motion is included.

Largest 8 diffraction maxima, sorted by position, 15° ≤ 2θ ≤ 90°:
- 2θ = 33.53°, I = 100
- 2θ = 48.03°, I = 6
- 2θ = 48.20°, I = 12
- 2θ = 59.86°, I = 13
- 2θ = 59.98°, I = 25
- 2θ = 70.41°, I = 8
- 2θ = 80.13°, I = 5
- 2θ = 80.41°, I = 11

Structural model:
Unit cell a=3.776 b=3.776 c=15.155 alpha=90.00 beta=90.00 gamma=90.00
Positions (direct):
Tb 0.000 0.000 0.000
Sm 0.000 0.000 0.248
Sm 0.000 0.000 0.500
Sm 0.000 0.000 0.752
Hg 0.500 0.500 0.119
Hg 0.500 0.500 0.374
Hg 0.500 0.500 0.626
Hg 0.500 0.500 0.881


Entry 13:
Starting from a GGA-PBE-relaxed structure, the XRD peak list of Tb4Sm5Hg was computed for λ = 1.5418 Å (Cu Kα).
No peak broadening, texture or thermal motion is included.

Largest 8 diffraction maxima, sorted by position, 15° ≤ 2θ ≤ 90°:
- 2θ = 30.81°, I = 100
- 2θ = 35.03°, I = 39
- 2θ = 37.08°, I = 12
- 2θ = 50.38°, I = 14
- 2θ = 51.93°, I = 18
- 2θ = 60.22°, I = 30
- 2θ = 62.97°, I = 7
- 2θ = 64.18°, I = 10

Structural model:
Unit cell a=3.623 b=3.623 c=24.244 alpha=90.00 beta=90.00 gamma=90.00
Positions (direct):
Tb 0.000 0.000 0.104
Tb 0.000 0.000 0.311
Tb 0.000 0.000 0.689
Tb 0.000 0.000 0.896
Sm 0.500 0.500 0.000
Sm 0.500 0.500 0.207
Sm 0.500 0.500 0.415
Sm 0.500 0.500 0.585
Sm 0.500 0.500 0.793
Hg 0.000 0.000 0.500